No. 1
For PmHo2AlN, the GGA-PBE geometry in Alexandria gives the computed powder XRD pattern in this record (Cu Kα (λ = 1.5418 Å)).
Peak positions follow from Bragg's law for the DFT cell and can differ from measured ones.

Structure:
```
PmHo2AlN
1.0
4.756 0.000 0.000
0.000 4.756 0.000
0.000 0.000 4.941
Pm Ho Al N
1 2 1 1
direct
0.000 0.000 0.000
0.000 0.500 0.500
0.500 0.000 0.500
0.500 0.500 0.000
0.000 0.000 0.500
```

Most intense lines, 10° ≤ 2θ ≤ 90°, by angle:
4.756 Å, 2θ = 18.66°, rel. 147; 2.780 Å, 2θ = 32.20°, rel. 1000; 2.470 Å, 2θ = 36.37°, rel. 201; 2.378 Å, 2θ = 37.83°, rel. 361; 1.713 Å, 2θ = 53.49°, rel. 264; 1.681 Å, 2θ = 54.58°, rel. 124; 1.479 Å, 2θ = 62.83°, rel. 150; 1.439 Å, 2θ = 64.80°, rel. 273; 1.390 Å, 2θ = 67.37°, rel. 131; 1.111 Å, 2θ = 87.92°, rel. 123

No. 2
For Nd4Ho5Al, the GGA-PBE geometry in Alexandria gives the computed powder XRD pattern in this record (Cu Kα (λ = 1.5418 Å)).
Peak positions follow from Bragg's law for the DFT cell and can differ from measured ones.

Structure:
```
Nd4Ho5Al
1.0
3.587 0.000 0.000
0.000 3.587 0.000
0.000 0.000 24.222
Nd Ho Al
4 5 1
direct
0.000 0.000 0.105
0.000 0.000 0.317
0.000 0.000 0.683
0.000 0.000 0.895
0.500 0.500 0.000
0.500 0.500 0.211
0.500 0.500 0.424
0.500 0.500 0.576
0.500 0.500 0.789
0.000 0.000 0.500
```

Most intense lines, 10° ≤ 2θ ≤ 90°, by angle:
3.086 Å, 2θ = 28.93°, rel. 183; 2.883 Å, 2θ = 31.02°, rel. 1000; 2.691 Å, 2θ = 33.29°, rel. 124; 2.537 Å, 2θ = 35.39°, rel. 442; 1.846 Å, 2θ = 49.37°, rel. 164; 1.794 Å, 2θ = 50.91°, rel. 158; 1.752 Å, 2θ = 52.22°, rel. 110; 1.558 Å, 2θ = 59.30°, rel. 168; 1.523 Å, 2θ = 60.82°, rel. 294; 1.176 Å, 2θ = 81.89°, rel. 134

No. 3
For Nd2Ho3Al3, the GGA-PBE geometry in Alexandria gives the computed powder XRD pattern in this record (Cu Kα (λ = 1.5418 Å)).
Peak positions follow from Bragg's law for the DFT cell and can differ from measured ones.

Structure:
```
Nd2Ho3Al3
1.0
4.825 0.000 0.000
0.000 4.842 0.000
0.000 0.000 8.932
Nd Ho Al
2 3 3
direct
0.000 0.000 0.236
0.000 0.000 0.764
0.500 0.000 0.500
0.500 0.500 0.221
0.500 0.500 0.779
0.000 0.500 0.000
0.000 0.500 0.500
0.500 0.000 0.000
```

Most intense lines, 10° ≤ 2θ ≤ 90°, by angle:
4.466 Å, 2θ = 19.88°, rel. 148; 3.417 Å, 2θ = 26.07°, rel. 179; 2.714 Å, 2θ = 33.00°, rel. 1000; 2.421 Å, 2θ = 37.14°, rel. 193; 2.412 Å, 2θ = 37.28°, rel. 191; 2.233 Å, 2θ = 40.39°, rel. 119; 1.709 Å, 2θ = 53.64°, rel. 134; 1.640 Å, 2θ = 56.08°, rel. 183; 1.448 Å, 2θ = 64.34°, rel. 146; 1.444 Å, 2θ = 64.53°, rel. 144

No. 4
For Nd3HoAl4, the GGA-PBE geometry in Alexandria gives the computed powder XRD pattern in this record (Cu Kα (λ = 1.5418 Å)).
Peak positions follow from Bragg's law for the DFT cell and can differ from measured ones.

Structure:
```
Nd3HoAl4
1.0
3.689 0.000 0.000
0.000 3.689 0.000
0.000 0.000 14.801
Nd Ho Al
3 1 4
direct
0.000 0.000 0.000
0.000 0.000 0.256
0.000 0.000 0.744
0.000 0.000 0.500
0.500 0.500 0.128
0.500 0.500 0.386
0.500 0.500 0.614
0.500 0.500 0.872
```

Most intense lines, 10° ≤ 2θ ≤ 90°, by angle:
3.693 Å, 2θ = 24.10°, rel. 592; 2.611 Å, 2θ = 34.34°, rel. 1000; 2.132 Å, 2θ = 42.39°, rel. 181; 1.845 Å, 2θ = 49.41°, rel. 120; 1.654 Å, 2θ = 55.57°, rel. 81; 1.650 Å, 2θ = 55.69°, rel. 163; 1.508 Å, 2θ = 61.51°, rel. 362; 1.306 Å, 2θ = 72.34°, rel. 72; 1.231 Å, 2θ = 77.55°, rel. 92; 1.167 Å, 2θ = 82.70°, rel. 107

No. 5
For Nd2HoAl9, the GGA-PBE geometry in Alexandria gives the computed powder XRD pattern in this record (Cu Kα (λ = 1.5418 Å)).
Peak positions follow from Bragg's law for the DFT cell and can differ from measured ones.

Structure:
```
Nd2HoAl9
1.0
2.822 1.629 8.826
-2.822 1.629 8.826
0.000 -3.259 8.826
Nd Ho Al
2 1 9
direct
0.142 0.142 0.142
0.858 0.858 0.858
0.000 0.000 0.000
0.075 0.586 0.586
0.335 0.335 0.335
0.414 0.414 0.925
0.414 0.925 0.414
0.500 0.500 0.500
0.586 0.075 0.586
0.586 0.586 0.075
0.665 0.665 0.665
0.925 0.414 0.414
```

Most intense lines, 10° ≤ 2θ ≤ 90°, by angle:
4.807 Å, 2θ = 18.46°, rel. 793; 4.413 Å, 2θ = 20.12°, rel. 233; 2.992 Å, 2θ = 29.87°, rel. 831; 2.822 Å, 2θ = 31.70°, rel. 846; 2.741 Å, 2θ = 32.67°, rel. 528; 2.434 Å, 2θ = 36.93°, rel. 453; 2.378 Å, 2θ = 37.84°, rel. 1000; 1.660 Å, 2θ = 55.34°, rel. 304; 1.529 Å, 2θ = 60.57°, rel. 252; 1.496 Å, 2θ = 62.03°, rel. 325

No. 6
For Nd2HoAl, the GGA-PBE geometry in Alexandria gives the computed powder XRD pattern in this record (Cu Kα (λ = 1.5418 Å)).
Peak positions follow from Bragg's law for the DFT cell and can differ from measured ones.

Structure:
```
Nd2HoAl
1.0
5.353 0.000 0.000
0.000 6.999 0.000
0.000 0.000 12.196
Nd Ho Al
8 4 4
direct
0.000 0.000 0.000
0.000 0.233 0.235
0.000 0.267 0.735
0.000 0.500 0.500
0.000 0.733 0.735
0.000 0.767 0.235
0.500 0.000 0.645
0.500 0.500 0.145
0.500 0.234 0.409
0.500 0.266 0.909
0.500 0.734 0.909
0.500 0.766 0.409
0.000 0.000 0.484
0.000 0.500 0.984
0.500 0.000 0.157
0.500 0.500 0.657
```

Most intense lines, 10° ≤ 2θ ≤ 90°, by angle:
4.018 Å, 2θ = 22.12°, rel. 431; 3.035 Å, 2θ = 29.43°, rel. 252; 2.677 Å, 2θ = 33.48°, rel. 361; 2.649 Å, 2θ = 33.83°, rel. 519; 2.640 Å, 2θ = 33.95°, rel. 1000; 2.009 Å, 2θ = 45.14°, rel. 230; 1.758 Å, 2θ = 52.03°, rel. 189; 1.539 Å, 2θ = 60.13°, rel. 292; 1.469 Å, 2θ = 63.30°, rel. 209; 1.465 Å, 2θ = 63.49°, rel. 176

No. 7
For NdHoAlTl, the GGA-PBE geometry in Alexandria gives the computed powder XRD pattern in this record (Cu Kα (λ = 1.5418 Å)).
Peak positions follow from Bragg's law for the DFT cell and can differ from measured ones.

Structure:
```
NdHoAlTl
1.0
3.708 0.000 0.000
0.000 3.708 0.000
0.000 0.000 7.711
Nd Ho Al Tl
1 1 1 1
direct
0.000 0.000 0.000
0.000 0.000 0.472
0.500 0.500 0.248
0.500 0.500 0.721
```

Most intense lines, 10° ≤ 2θ ≤ 90°, by angle:
7.711 Å, 2θ = 11.48°, rel. 235; 3.341 Å, 2θ = 26.68°, rel. 252; 2.672 Å, 2θ = 33.53°, rel. 1000; 2.622 Å, 2θ = 34.20°, rel. 488; 1.928 Å, 2θ = 47.15°, rel. 89; 1.854 Å, 2θ = 49.15°, rel. 177; 1.553 Å, 2θ = 59.52°, rel. 179; 1.523 Å, 2θ = 60.81°, rel. 365; 1.336 Å, 2θ = 70.47°, rel. 108; 1.172 Å, 2θ = 82.22°, rel. 80

No. 8
For HoAl8Ni3, the GGA-PBE geometry in Alexandria gives the computed powder XRD pattern in this record (Cu Kα (λ = 1.5418 Å)).
Peak positions follow from Bragg's law for the DFT cell and can differ from measured ones.

Structure:
```
HoAl8Ni3
1.0
6.208 0.000 0.000
0.000 2.020 7.852
0.000 -2.020 7.852
Ho Al Ni
1 8 3
direct
0.000 0.000 0.000
0.000 0.191 0.191
0.226 0.798 0.798
0.257 0.621 0.621
0.293 0.434 0.434
0.500 0.055 0.055
0.707 0.434 0.434
0.743 0.621 0.621
0.774 0.798 0.798
0.000 0.339 0.339
0.500 0.300 0.300
0.500 0.907 0.907
```

Most intense lines, 10° ≤ 2θ ≤ 90°, by angle:
7.852 Å, 2θ = 11.27°, rel. 1000; 3.915 Å, 2θ = 22.71°, rel. 304; 3.314 Å, 2θ = 26.90°, rel. 400; 3.198 Å, 2θ = 27.90°, rel. 470; 2.843 Å, 2θ = 31.47°, rel. 312; 2.432 Å, 2θ = 36.96°, rel. 913; 2.412 Å, 2θ = 37.29°, rel. 384; 2.303 Å, 2θ = 39.12°, rel. 664; 2.227 Å, 2θ = 40.50°, rel. 562; 2.020 Å, 2θ = 44.87°, rel. 373

No. 9
For HoAl12Ni4, the GGA-PBE geometry in Alexandria gives the computed powder XRD pattern in this record (Cu Kα (λ = 1.5418 Å)).
Peak positions follow from Bragg's law for the DFT cell and can differ from measured ones.

Structure:
```
HoAl12Ni4
1.0
-4.296 4.296 4.296
4.296 -4.296 4.296
4.296 4.296 -4.296
Ho Al Ni
1 12 4
direct
0.000 0.000 0.000
0.130 0.327 0.803
0.197 0.524 0.327
0.197 0.870 0.673
0.327 0.197 0.524
0.327 0.803 0.130
0.476 0.673 0.803
0.524 0.327 0.197
0.673 0.197 0.870
0.673 0.803 0.476
0.803 0.130 0.327
0.803 0.476 0.673
0.870 0.673 0.197
0.000 0.000 0.500
0.000 0.500 0.000
0.500 0.000 0.000
0.500 0.500 0.500
```

Most intense lines, 10° ≤ 2θ ≤ 90°, by angle:
6.076 Å, 2θ = 14.58°, rel. 814; 3.508 Å, 2θ = 25.39°, rel. 741; 3.038 Å, 2θ = 29.40°, rel. 1000; 2.717 Å, 2θ = 32.96°, rel. 869; 2.296 Å, 2θ = 39.23°, rel. 810; 2.148 Å, 2θ = 42.06°, rel. 473; 1.754 Å, 2θ = 52.15°, rel. 876; 1.685 Å, 2θ = 54.45°, rel. 391; 1.394 Å, 2θ = 67.16°, rel. 306; 1.148 Å, 2θ = 84.35°, rel. 260

No. 10
For Ho3Al2Ni6, the GGA-PBE geometry in Alexandria gives the computed powder XRD pattern in this record (Cu Kα (λ = 1.5418 Å)).
Peak positions follow from Bragg's law for the DFT cell and can differ from measured ones.

Structure:
```
Ho3Al2Ni6
1.0
-4.449 4.449 4.449
4.449 -4.449 4.449
4.449 4.449 -4.449
Ho Al Ni
6 4 12
direct
0.000 0.293 0.293
0.000 0.707 0.707
0.293 0.000 0.293
0.293 0.293 0.000
0.707 0.000 0.707
0.707 0.707 0.000
0.000 0.000 0.500
0.000 0.500 0.000
0.500 0.000 0.000
0.500 0.500 0.500
0.000 0.334 0.666
0.000 0.666 0.334
0.331 0.666 0.666
0.334 0.000 0.666
0.334 0.334 0.669
0.334 0.666 0.000
0.334 0.669 0.334
0.666 0.000 0.334
0.666 0.331 0.666
0.666 0.334 0.000
0.666 0.666 0.331
0.669 0.334 0.334
```

Most intense lines, 10° ≤ 2θ ≤ 90°, by angle:
3.633 Å, 2θ = 24.51°, rel. 225; 2.814 Å, 2θ = 31.80°, rel. 402; 2.569 Å, 2θ = 34.93°, rel. 272; 2.378 Å, 2θ = 37.83°, rel. 242; 2.224 Å, 2θ = 40.55°, rel. 190; 2.097 Å, 2θ = 43.13°, rel. 1000; 1.625 Å, 2θ = 56.66°, rel. 181; 1.443 Å, 2θ = 64.56°, rel. 169; 1.341 Å, 2θ = 70.16°, rel. 129; 1.211 Å, 2θ = 79.09°, rel. 275